Theoretical XRD peak list of YAl3Ni for Cu Ka, from a structure optimized by DFT (PBE).

Crystal structure
Cell lengths 8.1566, 4.0514, 10.6467 Å; angles 90.00, 90.00, 90.00 degrees
Space group Pnma (No. 62)
Symmetry-distinct sites (fractional):
Y 0.1855 0.2500 0.0089 [4 per cell]
Al 0.0554 0.2500 0.5834 [4 per cell]
Al 0.1148 0.7500 0.7860 [4 per cell]
Al 0.1441 0.7500 0.2220 [4 per cell]
Ni 0.1059 0.2500 0.3568 [4 per cell]

Peak list (10 most intense, 2θ from 5° to 70°, in order of rising 2θ)
(2 0 1), 2θ = 23.36°, rel. 14
(1 1 1), 2θ = 25.94°, rel. 20
(1 0 3), 2θ = 27.41°, rel. 17
(2 1 0), 2θ = 31.12°, rel. 30
(3 0 1), 2θ = 34.03°, rel. 21
(1 1 3), 2θ = 35.38°, rel. 100
(2 1 2), 2θ = 35.49°, rel. 56
(2 0 4), 2θ = 40.45°, rel. 16
(3 1 1), 2θ = 40.86°, rel. 29
(0 2 0), 2θ = 44.74°, rel. 34


Theoretical XRD peak list of DyGe2Pt for Cu Ka, from a structure optimized by DFT (PBE).

Crystal structure
Cell lengths 4.3508, 8.8062, 16.3806 Å; angles 90.00, 90.00, 90.00 degrees
Space group Immm (No. 71)
Symmetry-distinct sites (fractional):
Dy 0.0000 0.0000 0.2027 [4 per cell]
Dy 0.0000 0.2200 0.0000 [4 per cell]
Ge 0.0000 0.0000 0.4254 [4 per cell]
Ge 0.0000 0.3485 0.1991 [8 per cell]
Ge 0.0000 0.5000 0.4250 [4 per cell]
Pt 0.0000 0.2487 0.3521 [8 per cell]

Peak list (10 most intense, 2θ from 5° to 70°, in order of rising 2θ)
(0 2 0), 2θ = 20.17°, rel. 16
(1 2 3), 2θ = 33.28°, rel. 100
(1 0 5), 2θ = 34.26°, rel. 44
(1 3 2), 2θ = 38.60°, rel. 19
(0 2 6), 2θ = 38.81°, rel. 28
(0 4 0), 2θ = 41.00°, rel. 18
(2 0 0), 2θ = 41.51°, rel. 36
(1 4 3), 2θ = 49.30°, rel. 16
(2 2 6), 2θ = 58.13°, rel. 17
(1 6 3), 2θ = 69.80°, rel. 17